Record 1
Diffraction record for YH2O. The powder XRD pattern is theoretical, not measured: it uses a cell relaxed with PBE and Cu Kα.

Crystal structure
Cell lengths 3.583, 3.583, 7.783 Å; angles 90.00, 90.00, 120.00 degrees
Atoms (fractional coordinates):
1 Y 0.000 0.000 0.000
2 Y 0.333 0.667 0.386
3 H 0.000 0.000 0.278
4 H 0.333 0.667 0.081
5 H 0.667 0.333 0.163
6 H 0.667 0.333 0.715
7 O 0.667 0.333 0.506
8 O 0.667 0.333 0.846

Principal peaks in the range 2θ from 15° to 90°, by intensity:
Position (°2θ)	I (rel.)	h k l
31.03	100.0	0 1 1
22.85	35.6	0 0 2
37.05	33.7	1 0 2
45.58	25.3	0 1 3
50.97	23.3	1 1 0
55.76	19.1	1 0 4
56.55	16.4	1 1 2
60.88	13.7	2 0 1
83.32	10.9	1 2 1
63.06	9.5	1 1 3

=====

Record 2
Diffraction record for Y2MgIrC. The powder XRD pattern is theoretical, not measured: it uses a cell relaxed with PBE and Cu Kα.

Crystal structure
Cell lengths 5.062, 5.062, 3.916 Å; angles 90.00, 90.00, 90.00 degrees
Atoms (fractional coordinates):
1 Y 0.000 0.500 0.000
2 Y 0.500 0.000 0.000
3 Mg 0.000 0.000 0.500
4 Ir 0.500 0.500 0.500
5 C 0.500 0.500 0.000

Principal peaks in the range 2θ from 15° to 90°, by intensity:
Position (°2θ)	I (rel.)	h k l
33.93	100.0	1 1 1
17.52	51.6	1 0 0
35.47	49.4	2 0 0
62.71	40.7	3 1 1
46.35	25.1	0 0 2
59.70	24.6	2 0 2
28.82	23.4	1 0 1
51.04	17.2	2 2 0
71.40	16.3	2 2 2
39.82	13.1	2 1 0

=====

Record 3
Diffraction record for TcAgTe2N. The powder XRD pattern is theoretical, not measured: it uses a cell relaxed with PBE and Cu Kα.

Crystal structure
Cell lengths 5.433, 5.433, 3.706 Å; angles 90.00, 90.00, 90.00 degrees
Atoms (fractional coordinates):
1 Tc 0.000 0.000 0.000
2 Ag 0.500 0.500 0.500
3 Te 0.000 0.500 0.000
4 Te 0.500 0.000 0.000
5 N 0.000 0.000 0.500

Principal peaks in the range 2θ from 15° to 90°, by intensity:
Position (°2θ)	I (rel.)	h k l
32.97	100.0	2 0 0
33.60	62.9	1 1 1
29.17	48.9	1 0 1
47.33	35.4	2 2 0
60.47	33.2	2 0 2
44.59	30.3	2 1 1
24.01	24.6	0 0 1
41.20	23.8	2 0 1
59.29	23.2	3 1 1
70.63	20.6	2 2 2